1.
Theoretical X-ray diffraction stick pattern
Compound: Pm2Dy4Cd
Radiation: CuKα
Structure: a crystal structure in Alexandria, relaxed with PBE
Intensities are scaled so that the largest is 1000.

Peak list (8 most intense, 2θ = 5–70°, by intensity)
2θ/deg, intensity
31.35, 1000
33.59, 884
32.56, 729
33.09, 674
36.40, 601
30.61, 502
54.92, 449
61.01, 404

Structural model:
```
Pm2Dy4Cd
1.0
8.515 -1.794 0.000
8.515 1.794 0.000
-3.814 0.000 7.288
Pm Dy Cd
2 4 1
Direct
0.213 0.213 0.129 Pm
0.787 0.787 0.871 Pm
0.143 0.143 0.467 Dy
0.441 0.441 0.265 Dy
0.559 0.559 0.735 Dy
0.857 0.857 0.533 Dy
0.000 0.000 0.000 Cd
```

2.
Theoretical X-ray diffraction stick pattern
Compound: Th2BeSiPd6
Radiation: CuKα
Structure: a crystal structure in Alexandria, relaxed with PBE
Intensities are scaled so that the largest is 1000.

Peak list (8 most intense, 2θ = 5–70°, by intensity)
2θ/deg, intensity
37.38, 1000
40.55, 726
28.24, 653
36.19, 507
40.75, 367
29.34, 313
38.05, 300
19.97, 230

Structural model:
```
Th2BeSiPd6
1.0
5.100 -2.866 0.000
5.100 2.866 0.000
-3.610 0.000 6.320
Th Be Si Pd
2 1 1 6
Direct
0.218 0.218 0.186 Th
0.782 0.782 0.814 Th
0.000 0.000 0.500 Be
0.500 0.500 0.000 Si
0.246 0.246 0.673 Pd
0.248 0.742 0.274 Pd
0.258 0.752 0.726 Pd
0.742 0.248 0.274 Pd
0.752 0.258 0.726 Pd
0.754 0.754 0.327 Pd
```

3.
Theoretical X-ray diffraction stick pattern
Compound: YMgCdIn
Radiation: CuKα
Structure: a crystal structure in Alexandria, relaxed with PBE
Intensities are scaled so that the largest is 1000.

Peak list (8 most intense, 2θ = 5–70°, by intensity)
2θ/deg, intensity
33.88, 1000
37.22, 192
37.95, 182
64.99, 142
65.97, 139
42.61, 130
54.21, 125
26.34, 104

Structural model:
```
YMgCdIn
1.0
4.244 0.000 0.000
0.000 4.742 0.000
0.000 0.000 4.831
Y Mg Cd In
1 1 1 1
Direct
0.000 0.000 0.000 Y
0.000 0.500 0.500 Mg
0.500 0.000 0.500 Cd
0.500 0.500 0.000 In
```

4.
Theoretical X-ray diffraction stick pattern
Compound: InPdAu4
Radiation: CuKα
Structure: a crystal structure in Alexandria, relaxed with PBE
Intensities are scaled so that the largest is 1000.

Peak list (8 most intense, 2θ = 5–70°, by intensity)
2θ/deg, intensity
38.92, 1000
37.27, 727
38.39, 317
55.80, 216
54.17, 143
68.67, 141
69.37, 119
67.59, 110

Structural model:
```
InPdAu4
1.0
-2.315 2.814 4.240
2.315 -2.814 4.240
2.315 2.814 -4.240
In Pd Au
1 1 4
Direct
0.000 0.000 0.000 In
0.501 0.001 0.500 Pd
0.089 0.338 0.751 Au
0.178 0.678 0.500 Au
0.587 0.338 0.249 Au
0.672 0.672 0.000 Au
```

5.
Theoretical X-ray diffraction stick pattern
Compound: UZn17Au
Radiation: CuKα
Structure: a crystal structure in Alexandria, relaxed with PBE
Intensities are scaled so that the largest is 1000.

Peak list (8 most intense, 2θ = 5–70°, by intensity)
2θ/deg, intensity
40.23, 1000
34.61, 401
45.25, 355
40.96, 352
35.45, 280
13.18, 232
29.12, 180
40.55, 150

Structural model:
```
UZn17Au
1.0
4.488 2.591 4.450
-4.488 2.591 4.450
0.000 -5.183 4.450
U Zn Au
1 17 1
Direct
0.000 0.000 0.000 U
0.021 0.342 0.636 Zn
0.021 0.636 0.342 Zn
0.187 0.683 0.683 Zn
0.237 0.237 0.237 Zn
0.325 0.325 0.834 Zn
0.325 0.834 0.325 Zn
0.342 0.021 0.636 Zn
0.342 0.636 0.021 Zn
0.437 0.437 0.437 Zn
0.487 0.989 0.989 Zn
0.636 0.021 0.342 Zn
0.636 0.342 0.021 Zn
0.683 0.187 0.683 Zn
0.683 0.683 0.187 Zn
0.834 0.325 0.325 Zn
0.989 0.487 0.989 Zn
0.989 0.989 0.487 Zn
0.771 0.771 0.771 Au
```

6.
Theoretical X-ray diffraction stick pattern
Compound: BPd3
Radiation: CuKα
Structure: a crystal structure in Alexandria, relaxed with PBE
Intensities are scaled so that the largest is 1000.

Peak list (8 most intense, 2θ = 5–70°, by intensity)
2θ/deg, intensity
39.68, 1000
40.20, 822
39.20, 471
41.98, 400
44.39, 371
34.47, 269
33.77, 254
43.05, 234

Structural model:
```
BPd3
1.0
5.529 0.000 0.000
0.000 7.689 0.000
0.000 0.000 4.905
B Pd
4 12
Direct
0.112 0.250 0.065 B
0.388 0.750 0.565 B
0.612 0.250 0.435 B
0.888 0.750 0.935 B
0.040 0.750 0.343 Pd
0.179 0.572 0.825 Pd
0.179 0.928 0.825 Pd
0.321 0.072 0.325 Pd
0.321 0.428 0.325 Pd
0.460 0.250 0.843 Pd
0.540 0.750 0.157 Pd
0.679 0.572 0.675 Pd
0.679 0.928 0.675 Pd
0.821 0.072 0.175 Pd
0.821 0.428 0.175 Pd
0.960 0.250 0.657 Pd
```

7.
Theoretical X-ray diffraction stick pattern
Compound: GaSi2Pt2
Radiation: CuKα
Structure: a crystal structure in Alexandria, relaxed with PBE
Intensities are scaled so that the largest is 1000.

Peak list (8 most intense, 2θ = 5–70°, by intensity)
2θ/deg, intensity
28.51, 1000
16.71, 822
38.33, 744
34.56, 737
44.25, 593
39.61, 558
41.90, 553
50.16, 342

Structural model:
```
GaSi2Pt2
1.0
6.286 0.000 0.000
0.000 3.638 0.000
-1.575 0.000 7.408
Ga Si Pt
2 4 4
Direct
0.035 0.250 0.356 Ga
0.965 0.750 0.644 Ga
0.240 0.250 0.940 Si
0.452 0.250 0.721 Si
0.548 0.750 0.279 Si
0.760 0.750 0.060 Si
0.166 0.750 0.120 Pt
0.316 0.750 0.518 Pt
0.684 0.250 0.482 Pt
0.834 0.250 0.880 Pt
```

8.
Theoretical X-ray diffraction stick pattern
Compound: ZrUB24
Radiation: CuKα
Structure: a crystal structure in Alexandria, relaxed with PBE
Intensities are scaled so that the largest is 1000.

Peak list (8 most intense, 2θ = 5–70°, by intensity)
2θ/deg, intensity
40.24, 1000
20.70, 947
23.94, 720
34.12, 428
10.33, 253
53.72, 250
55.27, 239
42.08, 227

Structural model:
```
ZrUB24
1.0
2.631 1.519 8.568
-2.631 1.519 8.568
0.000 -3.037 8.568
Zr U B
1 1 24
Direct
0.000 0.000 0.000 Zr
0.500 0.500 0.500 U
0.080 0.420 0.420 B
0.081 0.081 0.420 B
0.081 0.420 0.081 B
0.089 0.411 0.750 B
0.089 0.750 0.411 B
0.250 0.589 0.911 B
0.250 0.911 0.589 B
0.411 0.089 0.750 B
0.411 0.750 0.089 B
0.420 0.080 0.420 B
0.420 0.081 0.081 B
0.420 0.420 0.080 B
0.580 0.580 0.920 B
0.580 0.919 0.919 B
0.580 0.920 0.580 B
0.589 0.250 0.911 B
0.589 0.911 0.250 B
0.750 0.089 0.411 B
0.750 0.411 0.089 B
0.911 0.250 0.589 B
0.911 0.589 0.250 B
0.919 0.580 0.919 B
0.919 0.919 0.580 B
0.920 0.580 0.580 B
```

9.
Theoretical X-ray diffraction stick pattern
Compound: AgAu3
Radiation: CuKα
Structure: a crystal structure in Alexandria, relaxed with PBE
Intensities are scaled so that the largest is 1000.

Peak list (8 most intense, 2θ = 5–70°, by intensity)
2θ/deg, intensity
40.02, 1000
37.38, 266
35.19, 246
69.20, 199
63.15, 174
52.28, 160
9.19, 73
36.45, 28

Structural model:
```
AgAu3
1.0
2.944 0.000 0.000
-1.472 2.550 0.000
0.000 0.000 9.622
Ag Au
1 3
Direct
0.000 0.000 0.000 Ag
0.000 0.000 0.500 Au
0.333 0.667 0.247 Au
0.333 0.667 0.753 Au
```

10.
Theoretical X-ray diffraction stick pattern
Compound: B2PtS6
Radiation: CuKα
Structure: a crystal structure in Alexandria, relaxed with PBE
Intensities are scaled so that the largest is 1000.

Peak list (8 most intense, 2θ = 5–70°, by intensity)
2θ/deg, intensity
12.38, 1000
26.08, 317
18.43, 310
38.90, 296
27.54, 244
38.32, 234
24.43, 221
16.11, 218

Structural model:
```
B2PtS6
1.0
5.622 -4.704 0.000
5.622 4.704 0.000
-1.217 0.000 5.763
B Pt S
4 2 12
Direct
0.146 0.293 0.345 B
0.293 0.146 0.845 B
0.707 0.854 0.155 B
0.854 0.707 0.655 B
0.390 0.610 0.750 Pt
0.610 0.390 0.250 Pt
0.083 0.612 0.841 S
0.085 0.228 0.626 S
0.228 0.085 0.126 S
0.295 0.488 0.359 S
0.388 0.917 0.659 S
0.488 0.295 0.859 S
0.512 0.705 0.141 S
0.612 0.083 0.341 S
0.705 0.512 0.641 S
0.772 0.915 0.874 S
0.915 0.772 0.374 S
0.917 0.388 0.159 S
```

11.
Theoretical X-ray diffraction stick pattern
Compound: ReAg
Radiation: CuKα
Structure: a crystal structure in Alexandria, relaxed with PBE
Intensities are scaled so that the largest is 1000.

Peak list (8 most intense, 2θ = 5–70°, by intensity)
2θ/deg, intensity
39.19, 1000
45.04, 643
9.19, 493
37.39, 338
66.81, 207
64.37, 182
43.28, 67
51.30, 59

Structural model:
```
ReAg
1.0
1.400 0.808 9.620
-1.400 0.808 9.620
0.000 -1.617 9.620
Re Ag
2 2
Direct
0.131 0.131 0.131 Re
0.869 0.869 0.869 Re
0.377 0.377 0.377 Ag
0.623 0.623 0.623 Ag
```

12.
Theoretical X-ray diffraction stick pattern
Compound: Y5ScAl6
Radiation: CuKα
Structure: a crystal structure in Alexandria, relaxed with PBE
Intensities are scaled so that the largest is 1000.

Peak list (8 most intense, 2θ = 5–70°, by intensity)
2θ/deg, intensity
35.38, 1000
35.59, 980
35.70, 972
24.75, 333
25.18, 330
24.89, 329
63.80, 328
64.20, 319

Structural model:
```
Y5ScAl6
1.0
8.008 -3.537 0.000
8.008 3.537 0.000
-1.579 0.000 4.822
Y Sc Al
5 1 6
Direct
0.000 0.000 0.000 Y
0.163 0.163 0.664 Y
0.326 0.326 0.325 Y
0.674 0.674 0.675 Y
0.837 0.837 0.336 Y
0.500 0.500 0.000 Sc
0.100 0.576 0.837 Al
0.273 0.727 0.500 Al
0.424 0.900 0.163 Al
0.576 0.100 0.837 Al
0.727 0.273 0.500 Al
0.900 0.424 0.163 Al
```